# Li4TeCl
Simulated powder diffractogram, Cu Kα (weighted mean of Kα1 and Kα2). Input: the PBE geometry in Alexandria.
Neutral-atom scattering factors, no anomalous dispersion.

Structure:
a b c (Å): 7.780 7.780 7.780
angles (deg): 90.00 90.00 90.00
Space group F-43m (No. 216)
One atom of each set of equivalent atoms:
Li (0.124, 0.124, 0.376) [16 per cell]
Te (0.000, 0.000, 0.000) [4 per cell]
Cl (0.250, 0.250, 0.750) [4 per cell]

Most intense lines, 10 to 90 degrees two-theta, sorted by position:
2θ (°)	d (Å)	I/Imax
19.77	4.492	100
22.86	3.890	27
32.55	2.750	76
38.38	2.346	72
51.18	1.785	23
52.61	1.740	12
58.09	1.588	27
61.98	1.497	23
71.78	1.315	17
77.62	1.230	11